Diffraction record for NdBi3Pt8. The powder X-ray diffraction pattern is computed, not measured: it uses DFT lattice parameters and positions (GGA-PBE) and Cu Kα (λ = 1.5418 Å).
Kinematic intensities with the Lorentz-polarization factor, no thermal factor.

Most intense lines, 2θ = 15–90°, sorted by position:
- 32.15 deg, I 249
- 35.38 deg, I 418
- 38.07 deg, I 1000
- 38.67 deg, I 735
- 40.32 deg, I 228
- 42.59 deg, I 199
- 59.42 deg, I 188
- 61.27 deg, I 255
- 64.88 deg, I 227
- 67.25 deg, I 277
- 80.34 deg, I 123
- 81.42 deg, I 186

Cell and atoms:
```
NdBi3Pt8
1.0
5.569 0.000 0.000
-2.784 4.823 0.000
0.000 0.000 8.948
Nd Bi Pt
1 3 8
Direct
0.000 0.000 0.000 Nd
0.000 0.000 0.398 Bi
0.667 0.333 0.443 Bi
0.667 0.333 0.844 Bi
0.166 0.332 0.680 Pt
0.166 0.834 0.680 Pt
0.333 0.667 0.417 Pt
0.333 0.667 0.922 Pt
0.501 0.001 0.163 Pt
0.501 0.499 0.163 Pt
0.668 0.834 0.680 Pt
0.999 0.499 0.163 Pt
```

***

Diffraction record for HgPd. The powder X-ray diffraction pattern is computed, not measured: it uses DFT lattice parameters and positions (GGA-PBE) and Cu Kα (λ = 1.5418 Å).
Kinematic intensities with the Lorentz-polarization factor, no thermal factor.

Most intense lines, 2θ = 15–90°, sorted by position:
- 21.26 deg, I 191
- 34.75 deg, I 500
- 37.15 deg, I 1000
- 37.98 deg, I 582
- 41.09 deg, I 535
- 43.30 deg, I 305
- 49.21 deg, I 189
- 54.27 deg, I 130
- 63.37 deg, I 209
- 69.59 deg, I 128
- 71.26 deg, I 156
- 79.32 deg, I 148

Cell and atoms:
```
HgPd
1.0
0.000 5.936 8.358
1.503 0.000 8.358
1.503 5.936 0.000
Hg Pd
4 4
Direct
0.006 0.744 0.006 Hg
0.256 0.994 0.256 Hg
0.744 0.006 0.744 Hg
0.994 0.256 0.994 Hg
0.261 0.261 0.489 Pd
0.489 0.489 0.261 Pd
0.511 0.511 0.739 Pd
0.739 0.739 0.511 Pd
```